[1]
Starting from a cell relaxed with GGA-PBE, the powder X-ray diffraction pattern of Y2TcO6 was calculated for CuKα.
Neutral-atom scattering factors, no anomalous dispersion.

Structure:
```
data_Y2TcO6
_chemical_formula_sum 'Y4 Tc2 O12'
_space_group_name_H-M_alt 'P 1 21/c 1'
_space_group_IT_number 14
_cell_length_a 5.4296
_cell_length_b 5.7664
_cell_length_c 9.0429
_cell_angle_alpha 90.00
_cell_angle_beta 119.96
_cell_angle_gamma 90.00
loop_
_space_group_symop_operation_xyz
'x,y,z'
'-x,-y,-z'
'-x,y+1/2,-z+1/2'
'x,-y+1/2,z+1/2'
loop_
_atom_site_label
_atom_site_type_symbol
_atom_site_fract_x
_atom_site_fract_y
_atom_site_fract_z
_atom_site_occupancy
Y1 Y 0.1910 0.0873 0.2322 1
Tc1 Tc 0.5000 0.0000 0.0000 1
O1 O 0.1544 0.1738 0.9472 1
O2 O 0.2628 0.7306 0.9038 1
O3 O 0.4437 0.0809 0.7789 1
```

Top 10 peaks for 15 to 90 degrees two-theta, in order of rising 2θ:
two_theta	I_rel
19.11	1000
21.05	403
24.42	215
30.80	800
33.22	281
33.60	703
37.40	408
48.60	243
56.08	203
61.31	278

---

[2]
Starting from a cell relaxed with GGA-PBE, the powder X-ray diffraction pattern of Zn3TcO6 was calculated for CuKα.
Neutral-atom scattering factors, no anomalous dispersion.

Structure:
```
data_Zn3TcO6
_chemical_formula_sum 'Zn18 Tc6 O36'
_space_group_name_H-M_alt 'R -3'
_space_group_IT_number 148
_space_group_name_Hall '-R 3'
_cell_length_a 8.6728
_cell_length_b 8.6728
_cell_length_c 10.5550
_cell_angle_alpha 90.00
_cell_angle_beta 90.00
_cell_angle_gamma 120.00
loop_
_atom_site_label
_atom_site_type_symbol
_atom_site_fract_x
_atom_site_fract_y
_atom_site_fract_z
_atom_site_occupancy
Zn1 Zn 0.0346 0.2606 0.2153 1
Tc1 Tc 0.0000 0.0000 0.0000 1
Tc2 Tc 0.0000 0.0000 0.5000 1
O1 O 0.0059 0.1822 0.8841 1
O2 O 0.0289 0.1946 0.3983 1
```

Top 10 peaks for 15 to 90 degrees two-theta, in order of rising 2θ:
two_theta	I_rel
20.53	288
25.31	265
29.19	627
32.66	833
32.78	469
35.91	1000
47.02	366
56.12	522
56.26	244
56.45	279

---

[3]
Starting from a cell relaxed with GGA-PBE, the powder X-ray diffraction pattern of Te2O5 was calculated for CuKα.
Neutral-atom scattering factors, no anomalous dispersion.

Structure:
```
data_Te2O5
_chemical_formula_sum 'Te4 O10'
_space_group_name_H-M_alt 'P 1 21 1'
_space_group_IT_number 4
_cell_length_a 5.5129
_cell_length_b 4.7928
_cell_length_c 8.1564
_cell_angle_alpha 90.00
_cell_angle_beta 102.63
_cell_angle_gamma 90.00
loop_
_space_group_symop_operation_xyz
'x,y,z'
'-x,y+1/2,-z'
loop_
_atom_site_label
_atom_site_type_symbol
_atom_site_fract_x
_atom_site_fract_y
_atom_site_fract_z
_atom_site_occupancy
Te1 Te 0.1292 0.0000 0.3720 1
Te2 Te 0.2564 0.3950 0.0099 1
O1 O 0.0334 0.6597 0.0978 1
O2 O 0.1204 0.3430 0.4878 1
O3 O 0.1756 0.5859 0.7919 1
O4 O 0.3267 0.2142 0.2213 1
O5 O 0.4709 0.1531 0.9071 1
```

Top 10 peaks for 15 to 90 degrees two-theta, in order of rising 2θ:
two_theta	I_rel
16.48	235
21.64	237
21.87	315
22.34	179
24.88	187
25.77	1000
29.17	277
35.98	184
36.11	285
37.55	177

---

[4]
Starting from a cell relaxed with GGA-PBE, the powder X-ray diffraction pattern of TeO3 was calculated for CuKα.
Neutral-atom scattering factors, no anomalous dispersion.

Structure:
```
data_TeO3
_chemical_formula_sum 'Te8 O24'
_space_group_name_H-M_alt 'P n a 21'
_space_group_IT_number 33
_cell_length_a 9.7028
_cell_length_b 8.0934
_cell_length_c 5.1664
_cell_angle_alpha 90.00
_cell_angle_beta 90.00
_cell_angle_gamma 90.00
loop_
_space_group_symop_operation_xyz
'x,y,z'
'-x,-y,z+1/2'
'-x+1/2,y+1/2,z+1/2'
'x+1/2,-y+1/2,z'
loop_
_atom_site_label
_atom_site_type_symbol
_atom_site_fract_x
_atom_site_fract_y
_atom_site_fract_z
_atom_site_occupancy
Te1 Te 0.0897 0.1198 0.0000 1
Te2 Te 0.1250 0.5280 0.2928 1
O1 O 0.9999 0.0703 0.3292 1
O2 O 0.0287 0.5772 0.9685 1
O3 O 0.0670 0.7522 0.3920 1
O4 O 0.1802 0.3125 0.1616 1
O5 O 0.2072 0.1415 0.6794 1
O6 O 0.2448 0.4944 0.6002 1
```

Top 10 peaks for 15 to 90 degrees two-theta, in order of rising 2θ:
two_theta	I_rel
20.39	451
21.96	332
22.38	1000
23.82	343
25.18	640
29.51	406
33.66	254
34.53	635
35.53	265
37.70	412

---

[5]
Starting from a cell relaxed with GGA-PBE, the powder X-ray diffraction pattern of TeO3 was calculated for CuKα.
Neutral-atom scattering factors, no anomalous dispersion.

Structure:
```
data_TeO3
_chemical_formula_sum 'Te4 O12'
_space_group_name_H-M_alt 'P n n a'
_space_group_IT_number 52
_cell_length_a 5.2243
_cell_length_b 4.9368
_cell_length_c 8.4552
_cell_angle_alpha 90.00
_cell_angle_beta 90.00
_cell_angle_gamma 90.00
loop_
_space_group_symop_operation_xyz
'x,y,z'
'-x,-y,-z'
'-x+1/2,-y,z'
'x+1/2,y,-z'
'x,-y+1/2,-z+1/2'
'-x,y+1/2,z+1/2'
'-x+1/2,y+1/2,-z+1/2'
'x+1/2,-y+1/2,z+1/2'
loop_
_atom_site_label
_atom_site_type_symbol
_atom_site_fract_x
_atom_site_fract_y
_atom_site_fract_z
_atom_site_occupancy
Te1 Te 0.2500 0.0000 0.0923 1
O1 O 0.0646 0.2117 0.9261 1
O2 O 0.1128 0.2500 0.2500 1
```

Top 10 peaks for 15 to 90 degrees two-theta, in order of rising 2θ:
two_theta	I_rel
19.98	479
20.84	1000
21.01	111
32.74	631
36.21	188
40.51	299
50.08	119
50.90	151
52.29	268
60.48	121

---

[6]
Starting from a cell relaxed with GGA-PBE, the powder X-ray diffraction pattern of ThTl2Te2O6 was calculated for CuKα.
Neutral-atom scattering factors, no anomalous dispersion.

Structure:
```
data_ThTl2Te2O6
_chemical_formula_sum 'Th2 Tl4 Te4 O12'
_space_group_name_H-M_alt 'C 1 2/m 1'
_space_group_IT_number 12
_cell_length_a 10.2033
_cell_length_b 7.1777
_cell_length_c 6.6513
_cell_angle_alpha 90.00
_cell_angle_beta 113.45
_cell_angle_gamma 90.00
loop_
_space_group_symop_operation_xyz
'x,y,z'
'-x,-y,-z'
'-x,y,-z'
'x,-y,z'
'x+1/2,y+1/2,z'
'-x+1/2,-y+1/2,-z'
'-x+1/2,y+1/2,-z'
'x+1/2,-y+1/2,z'
loop_
_atom_site_label
_atom_site_type_symbol
_atom_site_fract_x
_atom_site_fract_y
_atom_site_fract_z
_atom_site_occupancy
Th1 Th 0.0000 0.0000 0.0000 1
Tl1 Tl 0.1872 0.0000 0.6225 1
Te1 Te 0.0549 0.5000 0.7524 1
O1 O 0.0357 0.2091 0.7614 1
O2 O 0.2482 0.0000 0.2061 1
```

Top 10 peaks for 15 to 90 degrees two-theta, in order of rising 2θ:
two_theta	I_rel
15.56	161
23.81	156
24.81	805
28.27	532
29.24	877
29.68	1000
37.97	453
46.52	318
46.82	343
51.22	161